For CdFe3Pt, a crystal structure in Alexandria, relaxed with GGA-PBE gives the calculated PXRD pattern in this record (a wavelength of 1.5418 Å).
Peak positions follow from Bragg's law for the DFT cell and can differ from measured ones.

Atomic structure:
Lattice parameters (Å, degrees): 4.7090 4.7090 4.7090 90.00 90.00 90.00
Space group Pm-3m (No. 221)
Asymmetric unit:
1 Cd 0.0000 0.0000 0.0000
2 Fe 0.0000 0.5000 0.5000
3 Pt 0.5000 0.5000 0.5000

The 6 most intense peaks (5 to 70 degrees two-theta), in order of rising 2θ:
(hkl)  Position (°2θ)  Rel. int.
1 0 0  18.84  352
1 1 0  26.77  1000
2 0 0  38.23  755
2 1 1  47.28  436
2 2 0  55.17  503
3 1 0  62.36  192

---

For Cs3TiC, a crystal structure in Alexandria, relaxed with GGA-PBE gives the calculated PXRD pattern in this record (a wavelength of 1.5418 Å).
Peak positions follow from Bragg's law for the DFT cell and can differ from measured ones.

Atomic structure:
Lattice parameters (Å, degrees): 7.1076 7.1076 7.1076 90.00 90.00 90.00
Space group Pm-3m (No. 221)
Asymmetric unit:
1 Cs 0.0000 0.0000 0.5000
2 Ti 0.0000 0.0000 0.0000
3 C 0.5000 0.5000 0.5000

The 6 most intense peaks (5 to 70 degrees two-theta), in order of rising 2θ:
(hkl)  Position (°2θ)  Rel. int.
1 0 0  12.45  590
1 1 1  21.66  1000
2 0 0  25.06  854
2 1 0  28.07  350
2 2 0  35.73  660
3 1 1  42.17  510

---

For AcAl2TcO8, a crystal structure in Alexandria, relaxed with GGA-PBE gives the calculated PXRD pattern in this record (a wavelength of 1.5418 Å).
Peak positions follow from Bragg's law for the DFT cell and can differ from measured ones.

Atomic structure:
Lattice parameters (Å, degrees): 4.8509 4.8514 6.9309 80.05 80.03 77.37
Space group P-1 (No. 2)
Asymmetric unit:
1 Ac 0.0000 0.0000 0.0000
2 Al 0.4513 0.4515 0.2108
3 Tc 0.0000 0.0000 0.5000
4 O 0.2174 0.7727 0.3010
5 O 0.2285 0.7839 0.6986
6 O 0.2458 0.2476 0.4243
7 O 0.3378 0.3391 0.0025

The 6 most intense peaks (5 to 70 degrees two-theta), in order of rising 2θ:
(hkl)  Position (°2θ)  Rel. int.
1 0 0  18.94  1000
1 1 0  24.10  626
1 -1 0  29.46  365
1 0 2  30.36  602
1 0 -2  34.85  336
-1 1 2  39.95  379

---

For Tb4Tl3, a crystal structure in Alexandria, relaxed with GGA-PBE gives the calculated PXRD pattern in this record (a wavelength of 1.5418 Å).
Peak positions follow from Bragg's law for the DFT cell and can differ from measured ones.

Atomic structure:
Lattice parameters (Å, degrees): 14.3151 14.3151 6.7007 90.00 90.00 120.00
Space group R-3 (No. 148, hexagonal axes)
Asymmetric unit:
1 Tb 0.0000 0.0000 0.0000
2 Tb 0.0000 0.0000 0.5000
3 Tb 0.0535 0.2531 0.1784
4 Tl 0.0479 0.2228 0.7028

The 6 most intense peaks (5 to 70 degrees two-theta), in order of rising 2θ:
(hkl)  Position (°2θ)  Rel. int.
3 -2 2  32.86  994
1 4 0  33.11  1000
4 2 2  47.35  334
2 1 4  58.51  142
0 7 2  58.99  302
6 3 0  59.15  156